For Bi13O20, DFT lattice parameters and positions (PBE) gives the calculated X-ray powder pattern in this record (Cu Kα (λ = 1.5418 Å)).
Intensities are scaled so that the largest is 100.

Structure:
```
data_Bi13O20
_chemical_formula_sum 'Bi13 O20'
_space_group_name_H-M_alt 'P 1'
_space_group_IT_number 1
_space_group_name_Hall 'P 1'
_cell_length_a 9.054
_cell_length_b 9.054
_cell_length_c 9.054
_cell_angle_alpha 109.47
_cell_angle_beta 109.47
_cell_angle_gamma 109.47
loop_
_atom_site_label
_atom_site_fract_x
_atom_site_fract_y
_atom_site_fract_z
_atom_site_occupancy
Bi1 0.000 0.000 0.000 1
Bi2 0.143 0.806 0.305 1
Bi3 0.162 0.663 0.857 1
Bi4 0.194 0.337 0.499 1
Bi5 0.305 0.143 0.806 1
Bi6 0.337 0.499 0.194 1
Bi7 0.499 0.194 0.337 1
Bi8 0.501 0.838 0.695 1
Bi9 0.663 0.857 0.162 1
Bi10 0.695 0.501 0.838 1
Bi11 0.806 0.305 0.143 1
Bi12 0.838 0.695 0.501 1
Bi13 0.857 0.162 0.663 1
O1 0.000 0.000 0.239 1
O2 0.000 0.000 0.626 1
O3 0.000 0.239 0.000 1
O4 0.000 0.626 0.000 1
O5 0.109 0.375 0.746 1
O6 0.239 0.000 0.000 1
O7 0.254 0.629 0.363 1
O8 0.266 0.891 0.637 1
O9 0.363 0.254 0.629 1
O10 0.371 0.625 0.734 1
O11 0.374 0.374 0.374 1
O12 0.375 0.746 0.109 1
O13 0.625 0.734 0.371 1
O14 0.626 0.000 0.000 1
O15 0.629 0.363 0.254 1
O16 0.637 0.266 0.891 1
O17 0.734 0.371 0.625 1
O18 0.746 0.109 0.375 1
O19 0.761 0.761 0.761 1
O20 0.891 0.637 0.266 1
```

Peak list (10 most intense, 10° ≤ 2θ ≤ 90°, sorted by position)
- 26.97 deg, I = 100
- 29.60 deg, I = 25
- 32.03 deg, I = 70
- 44.17 deg, I = 20
- 50.93 deg, I = 34
- 52.52 deg, I = 21
- 54.07 deg, I = 30
- 60.01 deg, I = 22
- 76.18 deg, I = 15
- 77.46 deg, I = 15